Theoretical powder XRD pattern
Compound: TlCd12Bi6
Radiation: Cu Kα
Structure: a cell relaxed with PBE
No peak broadening, texture or thermal motion is included.

The 8 most intense peaks (10° ≤ 2θ ≤ 90°), in order of rising 2θ:
| 2θ/deg | intensity |
| --- | --- |
| 24.66 | 95.2 |
| 27.40 | 60.4 |
| 31.06 | 100.0 |
| 34.43 | 46.2 |
| 36.68 | 36.3 |
| 39.30 | 56.4 |
| 40.85 | 61.2 |
| 63.11 | 41.9 |

Cell and atoms:
Cell: 8.909 8.909 8.909 Å, 108.28 108.28 108.28°
Atoms (fractional coordinates):
Tl 0.000 0.000 0.000
Cd 0.100 0.500 0.900
Cd 0.100 0.900 0.500
Cd 0.196 0.404 0.404
Cd 0.404 0.196 0.404
Cd 0.404 0.404 0.196
Cd 0.500 0.100 0.900
Cd 0.500 0.900 0.100
Cd 0.596 0.596 0.804
Cd 0.596 0.804 0.596
Cd 0.804 0.596 0.596
Cd 0.900 0.100 0.500
Cd 0.900 0.500 0.100
Bi 0.205 0.702 0.702
Bi 0.298 0.298 0.795
Bi 0.298 0.795 0.298
Bi 0.702 0.205 0.702
Bi 0.702 0.702 0.205
Bi 0.795 0.298 0.298



Theoretical powder XRD pattern
Compound: Tl3Cd6Bi5
Radiation: Cu Kα
Structure: a cell relaxed with PBE
No peak broadening, texture or thermal motion is included.

The 8 most intense peaks (10° ≤ 2θ ≤ 90°), in order of rising 2θ:
| 2θ/deg | intensity |
| --- | --- |
| 28.68 | 39.1 |
| 28.75 | 18.1 |
| 29.94 | 100.0 |
| 31.26 | 20.1 |
| 35.34 | 21.8 |
| 36.96 | 38.8 |
| 37.30 | 21.8 |
| 41.52 | 18.9 |

Cell and atoms:
Cell: 4.863 14.464 12.175 Å, 90.00 90.00 90.00°
Atoms (fractional coordinates):
Tl 0.250 0.061 0.249
Tl 0.250 0.439 0.249
Tl 0.250 0.750 0.250
Tl 0.750 0.250 0.750
Tl 0.750 0.561 0.751
Tl 0.750 0.939 0.751
Cd 0.250 0.078 0.875
Cd 0.250 0.250 0.076
Cd 0.250 0.250 0.453
Cd 0.250 0.422 0.875
Cd 0.250 0.603 0.526
Cd 0.250 0.897 0.526
Cd 0.750 0.103 0.474
Cd 0.750 0.397 0.474
Cd 0.750 0.578 0.125
Cd 0.750 0.750 0.547
Cd 0.750 0.750 0.924
Cd 0.750 0.922 0.125
Bi 0.250 0.090 0.628
Bi 0.250 0.410 0.628
Bi 0.250 0.617 0.981
Bi 0.250 0.750 0.711
Bi 0.250 0.883 0.981
Bi 0.750 0.117 0.019
Bi 0.750 0.250 0.289
Bi 0.750 0.383 0.019
Bi 0.750 0.590 0.372
Bi 0.750 0.910 0.372



Theoretical powder XRD pattern
Compound: Tl6Cd3Bi
Radiation: Cu Kα
Structure: a cell relaxed with PBE
No peak broadening, texture or thermal motion is included.

The 8 most intense peaks (10° ≤ 2θ ≤ 90°), in order of rising 2θ:
| 2θ/deg | intensity |
| --- | --- |
| 26.67 | 36.2 |
| 29.03 | 81.2 |
| 31.13 | 68.6 |
| 33.03 | 25.7 |
| 34.75 | 100.0 |
| 43.08 | 29.7 |
| 59.05 | 33.9 |
| 62.51 | 27.0 |

Cell and atoms:
Cell: 6.634 6.634 8.221 Å, 90.00 90.00 120.00°
Atoms (fractional coordinates):
Tl 0.000 0.421 0.304
Tl 0.000 0.579 0.696
Tl 0.421 0.000 0.304
Tl 0.421 0.421 0.696
Tl 0.579 0.000 0.696
Tl 0.579 0.579 0.304
Cd 0.000 0.000 0.000
Cd 0.333 0.667 0.000
Cd 0.667 0.333 0.000
Bi 0.000 0.000 0.500



Theoretical powder XRD pattern
Compound: Tl3Cd8Bi3
Radiation: Cu Kα
Structure: a cell relaxed with PBE
No peak broadening, texture or thermal motion is included.

The 8 most intense peaks (10° ≤ 2θ ≤ 90°), in order of rising 2θ:
| 2θ/deg | intensity |
| --- | --- |
| 29.66 | 11.2 |
| 30.19 | 100.0 |
| 30.81 | 16.9 |
| 32.56 | 32.5 |
| 34.70 | 39.7 |
| 37.33 | 18.0 |
| 51.88 | 14.1 |
| 59.42 | 16.0 |

Cell and atoms:
Cell: 9.415 9.415 9.415 Å, 148.13 109.20 79.74°
Atoms (fractional coordinates):
Tl 0.000 0.000 0.000
Tl 0.296 0.296 0.000
Tl 0.704 0.704 0.000
Cd 0.041 0.671 0.369
Cd 0.127 0.860 0.268
Cd 0.302 0.671 0.631
Cd 0.408 0.140 0.268
Cd 0.592 0.860 0.732
Cd 0.698 0.329 0.369
Cd 0.873 0.140 0.732
Cd 0.959 0.329 0.631
Bi 0.297 0.500 0.797
Bi 0.500 0.000 0.500
Bi 0.703 0.500 0.203



Theoretical powder XRD pattern
Compound: Tl3Cd2Bi4
Radiation: Cu Kα
Structure: a cell relaxed with PBE
No peak broadening, texture or thermal motion is included.

The 8 most intense peaks (10° ≤ 2θ ≤ 90°), in order of rising 2θ:
| 2θ/deg | intensity |
| --- | --- |
| 31.77 | 100.0 |
| 32.32 | 93.4 |
| 32.49 | 87.4 |
| 45.81 | 17.4 |
| 46.35 | 33.7 |
| 56.82 | 18.9 |
| 57.30 | 19.2 |
| 64.64 | 26.8 |

Cell and atoms:
Cell: 9.650 9.650 6.714 Å, 90.00 90.00 118.86°
Atoms (fractional coordinates):
Tl 0.000 0.000 0.250
Tl 0.000 0.000 0.750
Tl 0.332 0.668 0.250
Tl 0.332 0.668 0.750
Tl 0.668 0.332 0.250
Tl 0.668 0.332 0.750
Cd 0.003 0.344 0.000
Cd 0.344 0.003 0.500
Cd 0.656 0.997 0.500
Cd 0.997 0.656 0.000
Bi 0.007 0.673 0.500
Bi 0.327 0.993 0.000
Bi 0.328 0.329 0.000
Bi 0.329 0.328 0.500
Bi 0.671 0.672 0.500
Bi 0.672 0.671 0.000
Bi 0.673 0.007 0.000
Bi 0.993 0.327 0.500



Theoretical powder XRD pattern
Compound: Tm6CdBi3
Radiation: Cu Kα
Structure: a cell relaxed with PBE
No peak broadening, texture or thermal motion is included.

The 8 most intense peaks (10° ≤ 2θ ≤ 90°), in order of rising 2θ:
| 2θ/deg | intensity |
| --- | --- |
| 30.42 | 20.9 |
| 32.11 | 100.0 |
| 32.56 | 90.3 |
| 34.00 | 47.1 |
| 34.64 | 39.3 |
| 43.30 | 28.3 |
| 56.16 | 22.5 |
| 64.05 | 20.0 |

Cell and atoms:
Cell: 8.267 8.267 8.359 Å, 90.00 90.00 88.26°
Atoms (fractional coordinates):
Tm 0.006 0.501 0.750
Tm 0.163 0.837 0.505
Tm 0.163 0.837 0.995
Tm 0.341 0.341 0.000
Tm 0.341 0.341 0.500
Tm 0.499 0.994 0.750
Tm 0.501 0.006 0.250
Tm 0.659 0.659 0.000
Tm 0.659 0.659 0.500
Tm 0.837 0.163 0.005
Tm 0.837 0.163 0.495
Tm 0.994 0.499 0.250
Cd 0.357 0.643 0.750
Cd 0.643 0.357 0.250
Bi 0.145 0.145 0.250
Bi 0.145 0.145 0.750
Bi 0.362 0.638 0.250
Bi 0.638 0.362 0.750
Bi 0.855 0.855 0.250
Bi 0.855 0.855 0.750



Theoretical powder XRD pattern
Compound: Tm5CdBi2
Radiation: Cu Kα
Structure: a cell relaxed with PBE
No peak broadening, texture or thermal motion is included.

The 8 most intense peaks (10° ≤ 2θ ≤ 90°), in order of rising 2θ:
| 2θ/deg | intensity |
| --- | --- |
| 29.81 | 35.6 |
| 31.58 | 19.0 |
| 32.92 | 44.1 |
| 33.62 | 100.0 |
| 34.83 | 22.8 |
| 35.64 | 12.3 |
| 46.26 | 13.6 |
| 59.24 | 19.9 |

Cell and atoms:
Cell: 6.379 6.379 15.115 Å, 90.00 90.00 129.51°
Atoms (fractional coordinates):
Tm 0.062 0.938 0.750
Tm 0.119 0.881 0.052
Tm 0.119 0.881 0.448
Tm 0.429 0.571 0.095
Tm 0.429 0.571 0.405
Tm 0.571 0.429 0.595
Tm 0.571 0.429 0.905
Tm 0.881 0.119 0.552
Tm 0.881 0.119 0.948
Tm 0.938 0.062 0.250
Cd 0.231 0.769 0.250
Cd 0.769 0.231 0.750
Bi 0.283 0.717 0.619
Bi 0.283 0.717 0.881
Bi 0.717 0.283 0.119
Bi 0.717 0.283 0.381



Theoretical powder XRD pattern
Compound: ZnCdBi2
Radiation: Cu Kα
Structure: a cell relaxed with PBE
No peak broadening, texture or thermal motion is included.

The 8 most intense peaks (10° ≤ 2θ ≤ 90°), in order of rising 2θ:
| 2θ/deg | intensity |
| --- | --- |
| 23.80 | 42.1 |
| 30.39 | 89.8 |
| 30.74 | 64.7 |
| 31.91 | 28.2 |
| 33.13 | 66.9 |
| 40.65 | 100.0 |
| 42.55 | 43.9 |
| 53.77 | 45.3 |

Cell and atoms:
Cell: 11.389 11.389 11.389 Å, 17.22 17.22 17.22°
Atoms (fractional coordinates):
Zn 0.000 0.000 0.000
Cd 0.500 0.500 0.500
Bi 0.403 0.403 0.403
Bi 0.597 0.597 0.597



Theoretical powder XRD pattern
Compound: Zr2CdBi
Radiation: Cu Kα
Structure: a cell relaxed with PBE
No peak broadening, texture or thermal motion is included.

The 8 most intense peaks (10° ≤ 2θ ≤ 90°), in order of rising 2θ:
| 2θ/deg | intensity |
| --- | --- |
| 18.12 | 19.5 |
| 32.90 | 96.6 |
| 36.70 | 100.0 |
| 37.00 | 70.2 |
| 37.23 | 23.5 |
| 58.73 | 30.2 |
| 68.84 | 16.8 |
| 71.12 | 20.4 |

Cell and atoms:
Cell: 6.289 6.289 6.289 Å, 119.82 105.38 103.74°
Atoms (fractional coordinates):
Zr 0.048 0.298 0.750
Zr 0.452 0.202 0.250
Zr 0.557 0.250 0.807
Zr 0.943 0.750 0.693
Cd 0.549 0.750 0.299
Cd 0.951 0.250 0.201
Bi 0.054 0.804 0.250
Bi 0.446 0.696 0.750



Theoretical powder XRD pattern
Compound: Zr5CdBi
Radiation: Cu Kα
Structure: a cell relaxed with PBE
No peak broadening, texture or thermal motion is included.

The 8 most intense peaks (10° ≤ 2θ ≤ 90°), in order of rising 2θ:
| 2θ/deg | intensity |
| --- | --- |
| 16.16 | 21.3 |
| 23.62 | 26.4 |
| 34.40 | 30.9 |
| 34.63 | 30.6 |
| 37.09 | 100.0 |
| 49.61 | 21.6 |
| 63.39 | 20.0 |
| 63.68 | 20.0 |

Cell and atoms:
Cell: 8.026 8.026 8.026 Å, 132.62 99.60 98.98°
Atoms (fractional coordinates):
Zr 0.252 0.000 0.752
Zr 0.252 0.500 0.252
Zr 0.253 0.269 0.516
Zr 0.253 0.737 0.984
Zr 0.493 0.243 0.250
Zr 0.507 0.757 0.750
Zr 0.747 0.263 0.016
Zr 0.747 0.731 0.484
Zr 0.748 0.000 0.248
Zr 0.748 0.500 0.748
Cd 0.007 0.257 0.750
Cd 0.993 0.743 0.250
Bi 0.000 0.000 0.000
Bi 0.500 0.000 0.500



Theoretical powder XRD pattern
Compound: Ce2Bi3
Radiation: Cu Kα
Structure: a cell relaxed with PBE
No peak broadening, texture or thermal motion is included.

The 8 most intense peaks (10° ≤ 2θ ≤ 90°), in order of rising 2θ:
| 2θ/deg | intensity |
| --- | --- |
| 29.70 | 74.5 |
| 33.33 | 100.0 |
| 42.49 | 28.7 |
| 55.05 | 49.0 |
| 61.71 | 22.4 |
| 69.95 | 22.3 |
| 71.93 | 11.2 |
| 87.28 | 14.2 |

Cell and atoms:
Cell: 9.176 9.176 9.176 Å, 153.19 153.19 38.28°
Atoms (fractional coordinates):
Ce 0.107 0.107 0.000
Ce 0.893 0.893 0.000
Bi 0.314 0.314 0.000
Bi 0.500 0.500 0.000
Bi 0.686 0.686 0.000



Theoretical powder XRD pattern
Compound: CeBi4
Radiation: Cu Kα
Structure: a cell relaxed with PBE
No peak broadening, texture or thermal motion is included.

The 8 most intense peaks (10° ≤ 2θ ≤ 90°), in order of rising 2θ:
| 2θ/deg | intensity |
| --- | --- |
| 28.72 | 15.0 |
| 30.57 | 100.0 |
| 32.85 | 33.5 |
| 40.18 | 15.5 |
| 48.00 | 21.5 |
| 52.84 | 17.9 |
| 61.50 | 13.4 |
| 67.11 | 11.2 |

Cell and atoms:
Cell: 8.614 8.628 4.488 Å, 90.00 90.00 90.00°
Atoms (fractional coordinates):
Ce 0.000 0.000 0.000
Ce 0.500 0.500 0.000
Bi 0.144 0.356 0.000
Bi 0.181 0.679 0.500
Bi 0.319 0.179 0.500
Bi 0.356 0.856 0.000
Bi 0.644 0.144 0.000
Bi 0.681 0.821 0.500
Bi 0.819 0.321 0.500
Bi 0.856 0.644 0.000